This entry pairs a crystal structure of La2H2Se2N with its computed XRD peak list. Radiation: Cu Kα X-rays. Structure: the PBE geometry in Alexandria.
Neutral-atom scattering factors, no anomalous dispersion.

Crystal structure
```
14
Lattice="4.935 0.000 0.000 0.000 5.925 0.000 0.000 0.000 13.786" Properties=species:S:1:pos:R:3 pbc="T T T"
La 0.000 0.000 2.194
La 0.000 0.000 11.592
La 2.468 2.962 4.699
La 2.468 2.962 9.086
H 0.404 2.962 6.893
H 2.063 0.000 0.000
H 2.872 0.000 0.000
H 4.531 2.962 6.893
Se 0.000 2.962 2.986
Se 0.000 2.962 10.799
Se 2.468 0.000 3.907
Se 2.468 0.000 9.879
N 0.000 0.000 0.000
N 2.468 2.962 6.893
```

Largest 6 diffraction maxima, by intensity, 10° ≤ 2θ ≤ 90°:
12.84 deg, I 100
26.50 deg, I 79
19.10 deg, I 53
40.58 deg, I 51
30.17 deg, I 46
35.19 deg, I 46

This entry pairs a crystal structure of LaTaHN2 with its computed XRD peak list. Radiation: Cu Kα X-rays. Structure: the PBE geometry in Alexandria.
Neutral-atom scattering factors, no anomalous dispersion.

Crystal structure
```
10
Lattice="-2.937 2.937 3.699 2.937 -2.937 3.699 2.937 2.937 -3.699" Properties=species:S:1:pos:R:3 pbc="T T T"
La 2.937 0.000 1.849
La 0.000 2.937 1.849
Ta 0.000 0.000 0.000
Ta 0.000 0.000 3.699
H 0.000 0.000 1.849
H 0.000 0.000 5.548
N 4.330 1.393 0.000
N 1.393 1.544 0.000
N 1.544 1.393 3.699
N -1.393 1.544 3.699
```

Largest 6 diffraction maxima, by intensity, 10° ≤ 2θ ≤ 90°:
32.41 deg, I 100
30.44 deg, I 50
55.35 deg, I 44
43.58 deg, I 26
59.03 deg, I 16
67.86 deg, I 14

This entry pairs a crystal structure of La2TaHN3 with its computed XRD peak list. Radiation: Cu Kα X-rays. Structure: the PBE geometry in Alexandria.
Neutral-atom scattering factors, no anomalous dispersion.

Crystal structure
```
14
Lattice="3.748 0.000 0.000 0.000 4.129 0.000 0.000 0.000 13.048" Properties=species:S:1:pos:R:3 pbc="T T T"
La 0.000 0.000 1.947
La 0.000 0.000 11.101
La 1.874 2.064 4.577
La 1.874 2.064 8.471
Ta 0.000 0.000 6.524
Ta 1.874 2.064 0.000
H 0.000 2.064 0.000
H 1.874 0.000 6.524
N 0.000 0.000 4.425
N 0.000 0.000 8.623
N 0.000 2.064 6.524
N 1.874 0.000 0.000
N 1.874 2.064 2.099
N 1.874 2.064 10.949
```

Largest 6 diffraction maxima, by intensity, 10° ≤ 2θ ≤ 90°:
32.26 deg, I 100
29.84 deg, I 89
31.51 deg, I 88
55.00 deg, I 37
53.54 deg, I 36
58.06 deg, I 29